1.
Ac4FeI6: calculated X-ray diffraction stick pattern (copper Kα), based on a GGA-PBE-relaxed structure.
Lines closer than 0.1° are merged.

Cell and atoms:
```
data_Ac4FeI6
_chemical_formula_sum 'Ac8 Fe2 I12'
_cell_length_a 10.9510
_cell_length_b 10.9510
_cell_length_c 8.5070
_cell_angle_alpha 90.00
_cell_angle_beta 90.00
_cell_angle_gamma 120.00
_symmetry_space_group_name_H-M 'P 1'
_symmetry_Int_Tables_number 1
_symmetry_space_group_name_Hall 'P 1'
loop_
_atom_site_label
_atom_site_type_symbol
_atom_site_fract_x
_atom_site_fract_y
_atom_site_fract_z
Ac1 Ac 0.2069 0.4138 0.0000
Ac2 Ac 0.2069 0.7931 0.0000
Ac3 Ac 0.3333 0.6667 0.5965
Ac4 Ac 0.4138 0.2069 0.5000
Ac5 Ac 0.5862 0.7931 0.0000
Ac6 Ac 0.6667 0.3333 0.0965
Ac7 Ac 0.7931 0.2069 0.5000
Ac8 Ac 0.7931 0.5862 0.5000
Fe1 Fe 0.3333 0.6667 0.9352
Fe2 Fe 0.6667 0.3333 0.4352
I1 I 0.0653 0.5326 0.3132
I2 I 0.1425 0.2849 0.6203
I3 I 0.1425 0.8575 0.6203
I4 I 0.2849 0.1425 0.1203
I5 I 0.4674 0.5326 0.3132
I6 I 0.4674 0.9347 0.3132
I7 I 0.5326 0.0653 0.8132
I8 I 0.5326 0.4674 0.8132
I9 I 0.7151 0.8575 0.6203
I10 I 0.8575 0.1425 0.1203
I11 I 0.8575 0.7151 0.1203
I12 I 0.9347 0.4674 0.8132
```

Most intense lines, 2θ from 10° to 80°, sorted by position:
2θ (°)	intensity	h k l
20.88	20.3	0 0 2
21.45	33.3	2 0 1
26.99	74.2	2 1 1
28.19	100.0	2 0 2
30.16	85.5	3 0 1
32.69	92.6	2 2 0
32.97	41.2	1 0 3
36.94	23.8	2 0 3
49.86	21.3	2 1 4
49.97	19.2	3 3 0
53.05	42.1	3 2 3
75.69	19.1	7 1 0


2.
AcFe3I12: calculated X-ray diffraction stick pattern (copper Kα), based on a GGA-PBE-relaxed structure.
Lines closer than 0.1° are merged.

Cell and atoms:
```
data_AcFe3I12
_chemical_formula_sum 'Ac2 Fe6 I24'
_cell_length_a 14.1527
_cell_length_b 14.1527
_cell_length_c 8.6606
_cell_angle_alpha 90.00
_cell_angle_beta 90.00
_cell_angle_gamma 120.00
_symmetry_space_group_name_H-M 'P 1'
_symmetry_Int_Tables_number 1
_symmetry_space_group_name_Hall 'P 1'
loop_
_atom_site_label
_atom_site_type_symbol
_atom_site_fract_x
_atom_site_fract_y
_atom_site_fract_z
Ac1 Ac 0.3333 0.6667 0.2500
Ac2 Ac 0.6667 0.3333 0.7500
Fe1 Fe 0.1007 0.7012 0.7500
Fe2 Fe 0.2988 0.3994 0.7500
Fe3 Fe 0.3994 0.1007 0.2500
Fe4 Fe 0.6006 0.8993 0.7500
Fe5 Fe 0.7012 0.6006 0.2500
Fe6 Fe 0.8993 0.2988 0.2500
I1 I 0.0046 0.8083 0.7500
I2 I 0.0242 0.5052 0.2500
I3 I 0.1917 0.1963 0.7500
I4 I 0.1963 0.0046 0.2500
I5 I 0.2288 0.7678 0.5094
I6 I 0.2288 0.7678 0.9906
I7 I 0.2322 0.4610 0.5094
I8 I 0.2322 0.4610 0.9906
I9 I 0.4610 0.2288 0.0094
I10 I 0.4610 0.2288 0.4906
I11 I 0.4811 0.9758 0.2500
I12 I 0.4948 0.5189 0.2500
I13 I 0.5052 0.4811 0.7500
I14 I 0.5189 0.0242 0.7500
I15 I 0.5390 0.7712 0.5094
I16 I 0.5390 0.7712 0.9906
I17 I 0.7678 0.5390 0.0094
I18 I 0.7678 0.5390 0.4906
I19 I 0.7712 0.2322 0.0094
I20 I 0.7712 0.2322 0.4906
I21 I 0.8037 0.9954 0.7500
I22 I 0.8083 0.8037 0.2500
I23 I 0.9758 0.4948 0.7500
I24 I 0.9954 0.1917 0.2500
```

Most intense lines, 2θ from 10° to 80°, sorted by position:
2θ (°)	intensity	h k l
16.17	26.3	1 1 1
17.73	21.7	2 0 1
21.76	30.4	2 1 1
25.18	24.3	2 0 2
26.22	31.2	1 3 0
28.21	100.0	1 2 2
29.14	30.0	4 0 0
33.51	25.2	3 2 1
45.00	21.8	4 3 0
49.33	19.3	6 0 2
49.93	16.8	1 3 4
53.39	20.1	6 1 2